Record 1
The following is a computed powder diffraction line list of CePa3. It was derived from the PBE geometry in Alexandria, using Cu Kα (weighted mean of Kα1 and Kα2).
Kinematic intensities with the Lorentz-polarization factor, no thermal factor.

Cell and atoms:
```
data_CePa3
_cell_length_a 4.642
_cell_length_b 4.642
_cell_length_c 9.411
_cell_angle_alpha 90.00
_cell_angle_beta 90.00
_cell_angle_gamma 90.00
_space_group_name_H-M_alt 'I 4/m m m'
_space_group_IT_number 139
_space_group_name_Hall '-I 4 2'
loop_
_atom_site_label
_atom_site_fract_x
_atom_site_fract_y
_atom_site_fract_z
Ce1 0.000 0.000 0.000
Pa1 0.000 0.000 0.500
Pa2 0.000 0.500 0.250
```

The 12 most intense peaks (2θ = 10–90°), sorted by position:
2θ/deg	intensity
18.86	10
21.34	32
33.28	1000
38.25	173
38.80	332
55.62	239
56.03	117
66.01	144
66.75	278
69.88	122
81.89	20
83.26	39

Record 2
The following is a computed powder diffraction line list of Ce7Pa. It was derived from the PBE geometry in Alexandria, using Cu Kα (weighted mean of Kα1 and Kα2).
Kinematic intensities with the Lorentz-polarization factor, no thermal factor.

Cell and atoms:
```
data_Ce7Pa
_cell_length_a 9.388
_cell_length_b 9.388
_cell_length_c 9.388
_cell_angle_alpha 90.00
_cell_angle_beta 90.00
_cell_angle_gamma 90.00
_space_group_name_H-M_alt 'F m -3 m'
_space_group_IT_number 225
_space_group_name_Hall '-F 4 2 3'
loop_
_atom_site_label
_atom_site_fract_x
_atom_site_fract_y
_atom_site_fract_z
Ce1 0.000 0.000 0.000
Ce2 0.000 0.250 0.250
Pa1 0.000 0.000 0.500
```

The 12 most intense peaks (2θ = 10–90°), sorted by position:
2θ/deg	intensity
16.35	26
18.91	14
26.86	13
31.61	17
33.05	1000
38.35	501
41.95	8
43.09	8
55.36	347
66.01	408
69.35	117
82.13	56

Record 3
The following is a computed powder diffraction line list of Ce4Pa. It was derived from the PBE geometry in Alexandria, using Cu Kα (weighted mean of Kα1 and Kα2).
Kinematic intensities with the Lorentz-polarization factor, no thermal factor.

Cell and atoms:
```
data_Ce4Pa
_cell_length_a 3.3072
_cell_length_b 3.3072
_cell_length_c 40.7852
_cell_angle_alpha 90.00
_cell_angle_beta 90.00
_cell_angle_gamma 120.00
_space_group_name_H-M_alt 'R -3 m'
_space_group_IT_number 166
_space_group_name_Hall '-R 3 2"'
loop_
_atom_site_label
_atom_site_fract_x
_atom_site_fract_y
_atom_site_fract_z
Ce1 0.0000 0.0000 0.1002
Ce2 0.0000 0.0000 0.3000
Pa1 0.0000 0.0000 0.5000
```

The 12 most intense peaks (2θ = 10–90°), sorted by position:
2θ/deg	intensity
13.02	35
32.94	339
33.15	1000
38.40	672
55.30	235
55.58	231
65.89	140
66.14	274
66.26	136
69.09	40
69.58	118
82.27	75

Record 4
The following is a computed powder diffraction line list of CePa6. It was derived from the PBE geometry in Alexandria, using Cu Kα (weighted mean of Kα1 and Kα2).
Kinematic intensities with the Lorentz-polarization factor, no thermal factor.

Cell and atoms:
```
data_CePa6
_cell_length_a 13.6957
_cell_length_b 13.6957
_cell_length_c 3.2113
_cell_angle_alpha 90.00
_cell_angle_beta 90.00
_cell_angle_gamma 120.00
_space_group_name_H-M_alt 'R -3'
_space_group_IT_number 148
_space_group_name_Hall '-R 3'
loop_
_atom_site_label
_atom_site_fract_x
_atom_site_fract_y
_atom_site_fract_z
Ce1 0.0000 0.0000 0.0000
Pa1 0.0425 0.2365 0.7954
```

The 12 most intense peaks (2θ = 10–90°), sorted by position:
2θ/deg	intensity
28.80	121
31.69	92
34.35	657
34.66	1000
39.20	125
43.60	99
49.60	214
61.33	57
61.92	217
62.12	191
73.13	119
83.35	94

Record 5
The following is a computed powder diffraction line list of Ce2PmPaSe5. It was derived from the PBE geometry in Alexandria, using Cu Kα (weighted mean of Kα1 and Kα2).
Kinematic intensities with the Lorentz-polarization factor, no thermal factor.

Cell and atoms:
```
data_Ce2PmPaSe5
_cell_length_a 5.202
_cell_length_b 5.202
_cell_length_c 10.933
_cell_angle_alpha 90.00
_cell_angle_beta 90.00
_cell_angle_gamma 90.00
_space_group_name_H-M_alt 'P 4/m m m'
_space_group_IT_number 123
_space_group_name_Hall '-P 4 2'
loop_
_atom_site_label
_atom_site_fract_x
_atom_site_fract_y
_atom_site_fract_z
Ce1 0.000 0.000 0.191
Pm1 0.500 0.500 0.500
Pa1 0.500 0.500 0.000
Se1 0.000 0.000 0.500
Se2 0.000 0.500 0.000
Se3 0.500 0.500 0.252
```

The 12 most intense peaks (2θ = 10–90°), sorted by position:
2θ/deg	intensity
23.61	444
24.19	1000
29.94	373
32.77	273
34.48	831
34.65	245
37.16	226
41.14	211
46.30	227
48.30	368
49.56	297
55.89	203

Record 6
The following is a computed powder diffraction line list of CePr2PaS8. It was derived from the PBE geometry in Alexandria, using Cu Kα (weighted mean of Kα1 and Kα2).
Kinematic intensities with the Lorentz-polarization factor, no thermal factor.

Cell and atoms:
```
data_CePr2PaS8
_cell_length_a 4.646
_cell_length_b 6.795
_cell_length_c 9.272
_cell_angle_alpha 90.00
_cell_angle_beta 90.14
_cell_angle_gamma 90.00
_space_group_name_H-M_alt 'P 1 2/m 1'
_space_group_IT_number 10
loop_
_space_group_symop_operation_xyz
'x,y,z'
'-x,-y,-z'
'-x,y,-z'
'x,-y,z'
loop_
_atom_site_label
_atom_site_fract_x
_atom_site_fract_y
_atom_site_fract_z
Ce1 0.000 0.000 0.000
Pr1 0.500 0.500 0.247
Pa1 0.000 0.000 0.500
S1 0.000 0.236 0.259
S2 0.500 0.230 0.500
S3 0.500 0.240 0.000
```

The 12 most intense peaks (2θ = 10–90°), sorted by position:
2θ/deg	intensity
23.21	1000
27.18	111
38.13	538
38.81	258
44.51	180
45.67	171
45.75	166
60.49	109
61.44	65
68.45	91
69.76	88
69.87	87

Record 7
The following is a computed powder diffraction line list of Ce2PrPaSe5. It was derived from the PBE geometry in Alexandria, using Cu Kα (weighted mean of Kα1 and Kα2).
Kinematic intensities with the Lorentz-polarization factor, no thermal factor.

Cell and atoms:
```
data_Ce2PrPaSe5
_cell_length_a 5.203
_cell_length_b 5.203
_cell_length_c 11.037
_cell_angle_alpha 90.00
_cell_angle_beta 90.00
_cell_angle_gamma 90.00
_space_group_name_H-M_alt 'P 4/m m m'
_space_group_IT_number 123
_space_group_name_Hall '-P 4 2'
loop_
_atom_site_label
_atom_site_fract_x
_atom_site_fract_y
_atom_site_fract_z
Ce1 0.000 0.000 0.185
Pr1 0.500 0.500 0.500
Pa1 0.500 0.500 0.000
Se1 0.000 0.000 0.500
Se2 0.000 0.500 0.000
Se3 0.500 0.500 0.250
```

The 12 most intense peaks (2θ = 10–90°), sorted by position:
2θ/deg	intensity
23.50	368
24.19	916
29.74	367
32.45	230
34.48	1000
36.87	247
40.88	200
46.16	221
48.07	311
49.56	325
55.88	229
61.77	198

Record 8
The following is a computed powder diffraction line list of CePaPt6. It was derived from the PBE geometry in Alexandria, using Cu Kα (weighted mean of Kα1 and Kα2).
Kinematic intensities with the Lorentz-polarization factor, no thermal factor.

Cell and atoms:
```
data_CePaPt6
_cell_length_a 4.186
_cell_length_b 4.186
_cell_length_c 8.357
_cell_angle_alpha 90.00
_cell_angle_beta 90.00
_cell_angle_gamma 90.00
_space_group_name_H-M_alt 'P 4/m m m'
_space_group_IT_number 123
_space_group_name_Hall '-P 4 2'
loop_
_atom_site_label
_atom_site_fract_x
_atom_site_fract_y
_atom_site_fract_z
Ce1 0.000 0.000 0.000
Pa1 0.000 0.000 0.500
Pt1 0.000 0.500 0.256
Pt2 0.500 0.500 0.000
Pt3 0.500 0.500 0.500
```

The 10 most intense peaks (2θ = 10–90°), sorted by position:
2θ/deg	intensity
10.59	25
23.78	10
37.23	1000
43.25	495
44.66	11
62.83	331
75.32	264
75.43	129
79.34	114
88.23	5

Record 9
The following is a computed powder diffraction line list of CePu2Pa6. It was derived from the PBE geometry in Alexandria, using Cu Kα (weighted mean of Kα1 and Kα2).
Kinematic intensities with the Lorentz-polarization factor, no thermal factor.

Cell and atoms:
```
data_CePu2Pa6
_cell_length_a 4.538
_cell_length_b 4.538
_cell_length_c 23.807
_cell_angle_alpha 90.00
_cell_angle_beta 90.00
_cell_angle_gamma 90.00
_space_group_name_H-M_alt 'I -4 2 m'
_space_group_IT_number 121
_space_group_name_Hall 'I -4 2'
loop_
_atom_site_label
_atom_site_fract_x
_atom_site_fract_y
_atom_site_fract_z
Ce1 0.000 0.000 0.000
Pu1 0.000 0.000 0.315
Pa1 0.000 0.500 0.250
Pa2 0.230 0.230 0.111
```

The 12 most intense peaks (2θ = 10–90°), sorted by position:
2θ/deg	intensity
22.57	588
27.14	204
28.81	1000
31.68	200
35.99	993
40.47	300
41.38	416
42.64	811
46.15	375
47.56	345
57.43	325
69.67	378

Record 10
The following is a computed powder diffraction line list of CePuPa14. It was derived from the PBE geometry in Alexandria, using Cu Kα (weighted mean of Kα1 and Kα2).
Kinematic intensities with the Lorentz-polarization factor, no thermal factor.

Cell and atoms:
```
data_CePuPa14
_cell_length_a 6.636
_cell_length_b 6.636
_cell_length_c 9.109
_cell_angle_alpha 90.00
_cell_angle_beta 90.00
_cell_angle_gamma 90.00
_space_group_name_H-M_alt 'P 4/m m m'
_space_group_IT_number 123
_space_group_name_Hall '-P 4 2'
loop_
_atom_site_label
_atom_site_fract_x
_atom_site_fract_y
_atom_site_fract_z
Ce1 0.000 0.000 0.000
Pu1 0.500 0.500 0.000
Pa1 0.000 0.000 0.500
Pa2 0.000 0.500 0.000
Pa3 0.000 0.500 0.500
Pa4 0.251 0.251 0.249
Pa5 0.500 0.500 0.500
```

The 10 most intense peaks (2θ = 10–90°), sorted by position:
2θ/deg	intensity
33.41	1000
38.37	346
39.58	160
55.38	123
56.30	234
66.24	290
67.89	135
70.19	123
82.17	41
85.23	19

Record 11
The following is a computed powder diffraction line list of CePu2Pa8. It was derived from the PBE geometry in Alexandria, using Cu Kα (weighted mean of Kα1 and Kα2).
Kinematic intensities with the Lorentz-polarization factor, no thermal factor.

Cell and atoms:
```
data_CePu2Pa8
_cell_length_a 11.270
_cell_length_b 8.311
_cell_length_c 6.124
_cell_angle_alpha 90.00
_cell_angle_beta 97.62
_cell_angle_gamma 90.00
_space_group_name_H-M_alt 'C 1 2/m 1'
_space_group_IT_number 12
loop_
_space_group_symop_operation_xyz
'x,y,z'
'-x,-y,-z'
'-x,y,-z'
'x,-y,z'
'x+1/2,y+1/2,z'
'-x+1/2,-y+1/2,-z'
'-x+1/2,y+1/2,-z'
'x+1/2,-y+1/2,z'
loop_
_atom_site_label
_atom_site_fract_x
_atom_site_fract_y
_atom_site_fract_z
Ce1 0.000 0.000 0.000
Pu1 0.198 0.000 0.845
Pa1 0.104 0.500 0.294
Pa2 0.131 0.000 0.443
Pa3 0.162 0.302 0.798
```

The 12 most intense peaks (2θ = 10–90°), sorted by position:
2θ/deg	intensity
15.87	536
21.38	566
29.53	788
31.63	881
33.37	953
33.50	1000
35.48	760
36.10	459
36.99	739
40.59	496
43.56	444
59.28	490

Record 12
The following is a computed powder diffraction line list of Ce3PuPa3Se8. It was derived from the PBE geometry in Alexandria, using Cu Kα (weighted mean of Kα1 and Kα2).
Kinematic intensities with the Lorentz-polarization factor, no thermal factor.

Cell and atoms:
```
data_Ce3PuPa3Se8
_cell_length_a 8.1667
_cell_length_b 8.1667
_cell_length_c 20.3334
_cell_angle_alpha 90.00
_cell_angle_beta 90.00
_cell_angle_gamma 120.00
_space_group_name_H-M_alt 'R -3 m'
_space_group_IT_number 166
_space_group_name_Hall '-R 3 2"'
loop_
_atom_site_label
_atom_site_fract_x
_atom_site_fract_y
_atom_site_fract_z
Ce1 0.0000 0.5000 0.0000
Pu1 0.0000 0.0000 0.5000
Pa1 0.0000 0.5000 0.5000
Se1 0.0000 0.0000 0.2484
Se2 0.0115 0.5058 0.7499
```

The 12 most intense peaks (2θ = 10–90°), sorted by position:
2θ/deg	intensity
13.06	149
25.57	97
26.69	174
30.80	1000
43.87	381
44.37	367
54.13	69
54.98	195
64.16	123
72.49	173
73.22	166
81.34	127